Structure and simulated X-ray powder pattern of NdY7Ho5 (a PBE-relaxed structure; λ = 1.5418 Å (Cu Kα)).
Intensities are scaled so that the largest is 100.

Largest 6 diffraction maxima, in order of rising 2θ, 10 to 80 degrees two-theta:
- (0 0 2), 15.27°, d 5.803, I 38
- (0 0 4), 30.83°, d 2.900, I 100
- (2 2 0), 31.19°, d 2.867, I 67
- (1 3 2), 31.55°, d 2.835, I 60
- (2 2 2), 34.90°, d 2.571, I 91
- (2 2 6), 57.45°, d 1.604, I 35

Structural model:
a b c (Å): 6.684 11.155 11.611
angles (deg): 90.00 90.00 90.00
Space group Imm2 (No. 44)
One atom of each set of equivalent atoms:
Nd (0.000, 0.000, 0.000) x2
Y (0.000, 0.000, 0.388) x2
Y (0.000, 0.000, 0.698) x2
Y (0.000, 0.327, 0.943) x4
Y (0.000, 0.331, 0.443) x4
Y (0.000, 0.500, 0.697) x2
Ho (0.000, 0.500, 0.188) x2
Ho (0.234, 0.229, 0.195) x8